(1)
This entry pairs a crystal structure of ErTl3F6 with its simulated PXRD pattern. Radiation: Cu Kα (λ = 1.5418 Å). Structure: a cell relaxed with PBE.
No peak broadening, texture or thermal motion is included.

Structure:
```
20
Lattice="6.545 0.000 0.000 0.000 6.877 0.000 -6.423 0.000 9.446" Properties=species:S:1:pos:R:3 pbc="T T T"
Er 0.000 0.000 0.000
Er -3.212 3.438 4.723
Tl -3.098 0.282 7.119
Tl 0.114 3.156 2.395
Tl 0.061 0.000 4.723
Tl 3.272 3.438 0.000
Tl 0.008 3.720 7.051
Tl 3.219 6.595 2.328
F -0.699 0.355 2.032
F -3.910 3.083 6.755
F 1.019 5.062 0.632
F -2.193 5.253 5.355
F 1.816 1.117 0.429
F -1.395 2.321 5.152
F 1.517 4.555 4.295
F -1.695 5.760 9.018
F 2.315 1.624 4.091
F -0.897 1.815 8.814
F 4.032 3.794 2.691
F 0.820 6.522 7.414
```

Principal peaks in the range 2θ = 10–90°, low angle first:
25.9°, I = 48.3
26.5°, I = 100.0
26.8°, I = 97.7
27.3°, I = 46.0
38.0°, I = 42.4
38.1°, I = 24.2
46.1°, I = 19.5
46.7°, I = 22.7
47.6°, I = 24.9
48.0°, I = 22.1



(2)
This entry pairs a crystal structure of ErTmF5 with its simulated PXRD pattern. Radiation: Cu Kα (λ = 1.5418 Å). Structure: a cell relaxed with PBE.
No peak broadening, texture or thermal motion is included.

Structure:
```
14
Lattice="4.709 -3.587 0.000 4.709 3.587 0.000 -3.117 0.000 7.009" Properties=species:S:1:pos:R:3 pbc="T T T"
Er 0.000 0.000 0.000
Er -1.558 0.000 3.504
Tm 2.371 0.126 5.257
Tm 3.930 -0.126 1.752
F 2.371 2.355 5.257
F 0.419 0.099 4.391
F 1.977 -0.099 0.886
F 4.631 1.225 0.168
F 3.228 1.225 3.336
F 3.073 -1.225 3.673
F 1.670 -1.225 6.841
F 4.323 0.099 6.123
F 5.882 -0.099 2.618
F 3.930 -2.355 1.752
```

Principal peaks in the range 2θ = 10–90°, low angle first:
20.6°, I = 95.5
24.8°, I = 55.0
26.4°, I = 100.0
32.5°, I = 32.2
33.7°, I = 62.4
42.0°, I = 22.3
44.7°, I = 35.1
49.7°, I = 35.2
50.3°, I = 34.3
63.0°, I = 23.8



(3)
This entry pairs a crystal structure of YEr2F11 with its simulated PXRD pattern. Radiation: Cu Kα (λ = 1.5418 Å). Structure: a cell relaxed with PBE.
No peak broadening, texture or thermal motion is included.

Structure:
```
28
Lattice="-4.143 5.080 5.549 4.143 -5.080 5.549 4.143 5.080 -5.549" Properties=species:S:1:pos:R:3 pbc="T T T"
Y 0.000 0.000 2.775
Y 0.000 0.000 8.324
Er 5.455 1.922 0.000
Er 1.311 3.158 0.000
Er 2.832 1.922 5.549
Er -1.311 3.158 5.549
F 4.143 0.000 0.000
F 4.994 -3.336 3.969
F 1.726 -0.777 1.480
F 4.994 3.336 -1.580
F 3.233 1.990 0.000
F 6.561 0.777 1.480
F 2.418 4.303 -1.480
F 3.233 -1.990 5.549
F 0.851 1.744 1.580
F 1.726 0.777 4.069
F 4.994 3.336 1.580
F 0.000 5.080 0.000
F -0.851 1.744 3.969
F 2.418 4.303 1.480
F 3.292 3.336 3.969
F 0.910 7.069 0.000
F 1.726 0.777 7.029
F -2.418 4.303 4.069
F 0.910 3.090 5.549
F -0.851 1.744 7.129
F 2.418 5.856 4.069
F -0.851 8.416 1.580
```

Principal peaks in the range 2θ = 10–90°, low angle first:
16.0°, I = 68.9
21.2°, I = 77.9
22.0°, I = 65.1
23.7°, I = 83.0
24.6°, I = 100.0
33.6°, I = 28.8
43.6°, I = 28.6
44.6°, I = 35.6
45.4°, I = 57.7
47.3°, I = 28.5



(4)
This entry pairs a crystal structure of YErF5 with its simulated PXRD pattern. Radiation: Cu Kα (λ = 1.5418 Å). Structure: a cell relaxed with PBE.
No peak broadening, texture or thermal motion is included.

Structure:
```
14
Lattice="4.772 -3.558 0.000 4.772 3.558 0.000 -3.231 0.000 7.182" Properties=species:S:1:pos:R:3 pbc="T T T"
Y 2.349 3.487 5.387
Y 3.965 -3.487 1.796
Er 4.772 0.000 0.000
Er 3.157 0.000 3.591
F 4.717 2.323 0.120
F 3.212 2.323 3.471
F 1.185 0.066 2.693
F -0.431 -0.066 6.285
F 2.349 1.163 5.387
F 3.965 -1.163 1.796
F 6.744 0.066 0.898
F 5.128 -0.066 4.489
F 3.102 -2.323 3.711
F 1.596 -2.323 7.062
```

Principal peaks in the range 2θ = 10–90°, low angle first:
20.4°, I = 95.6
25.0°, I = 52.4
25.9°, I = 100.0
32.5°, I = 25.7
33.2°, I = 51.1
41.5°, I = 24.2
44.6°, I = 38.2
49.1°, I = 19.0
49.5°, I = 51.4
49.6°, I = 18.7